(1)
Diffraction record for La2SmCoAu. The powder diffractogram is calculated, not measured: it uses DFT lattice parameters and positions (GGA-PBE) and λ = 1.5418 Å (Cu Kα).
No peak broadening, texture or thermal motion is included.

Structure:
```
data_La2SmCoAu
_chemical_formula_sum 'La2 Sm1 Co1 Au1'
_space_group_name_H-M_alt 'P 4 m m'
_space_group_IT_number 99
_space_group_name_Hall 'P 4 -2'
_cell_length_a 5.207
_cell_length_b 5.207
_cell_length_c 5.459
_cell_angle_alpha 90.00
_cell_angle_beta 90.00
_cell_angle_gamma 90.00
loop_
_atom_site_label
_atom_site_type_symbol
_atom_site_fract_x
_atom_site_fract_y
_atom_site_fract_z
La1 La 0.000 0.500 0.000
Sm1 Sm 0.000 0.000 0.523
Co1 Co 0.000 0.000 0.032
Au1 Au 0.500 0.500 0.626
```

The 6 most intense peaks (10° ≤ 2θ ≤ 80°), low angle first:
- 2θ 29.3, intensity 100, (1 1 1)
- 2θ 32.8, intensity 20, (0 0 2)
- 2θ 34.4, intensity 56, (2 0 0)
- 2θ 48.3, intensity 27, (2 0 2)
- 2θ 49.5, intensity 20, (2 2 0)
- 2θ 58.5, intensity 29, (3 1 1)

(2)
Diffraction record for LiCo2Au. The powder diffractogram is calculated, not measured: it uses DFT lattice parameters and positions (GGA-PBE) and λ = 1.5418 Å (Cu Kα).
No peak broadening, texture or thermal motion is included.

Structure:
```
data_LiCo2Au
_chemical_formula_sum 'Li2 Co4 Au2'
_space_group_name_H-M_alt 'C 1 m 1'
_space_group_IT_number 8
_space_group_name_Hall 'C -2y'
_cell_length_a 8.446
_cell_length_b 2.636
_cell_length_c 4.796
_cell_angle_alpha 90.00
_cell_angle_beta 98.58
_cell_angle_gamma 90.00
loop_
_atom_site_label
_atom_site_type_symbol
_atom_site_fract_x
_atom_site_fract_y
_atom_site_fract_z
Li1 Li 0.000 0.000 0.000
Co1 Co 0.259 0.500 0.290
Co2 Co 0.499 0.000 0.459
Au1 Au 0.246 0.000 0.781
```

The 6 most intense peaks (10° ≤ 2θ ≤ 80°), low angle first:
- 2θ 18.7, intensity 51, (0 0 1)
- 2θ 21.3, intensity 97, (2 0 0)
- 2θ 26.2, intensity 48, (2 0 -1)
- 2θ 40.9, intensity 47, (2 0 -2)
- 2θ 41.4, intensity 100, (1 1 1)
- 2θ 49.5, intensity 59, (3 1 -1)

(3)
Diffraction record for TbLuCoAu. The powder diffractogram is calculated, not measured: it uses DFT lattice parameters and positions (GGA-PBE) and λ = 1.5418 Å (Cu Kα).
No peak broadening, texture or thermal motion is included.

Structure:
```
data_TbLuCoAu
_chemical_formula_sum 'Tb4 Lu4 Co4 Au4'
_space_group_name_H-M_alt 'F -4 3 m'
_space_group_IT_number 216
_space_group_name_Hall 'F -4 2 3'
_cell_length_a 6.915
_cell_length_b 6.915
_cell_length_c 6.915
_cell_angle_alpha 90.00
_cell_angle_beta 90.00
_cell_angle_gamma 90.00
loop_
_atom_site_label
_atom_site_type_symbol
_atom_site_fract_x
_atom_site_fract_y
_atom_site_fract_z
Tb1 Tb 0.000 0.000 0.000
Lu1 Lu 0.000 0.000 0.500
Co1 Co 0.250 0.250 0.250
Au1 Au 0.250 0.250 0.750
```

The 6 most intense peaks (10° ≤ 2θ ≤ 80°), low angle first:
- 2θ 22.3, intensity 12, (1 1 1)
- 2θ 36.8, intensity 100, (2 2 0)
- 2θ 43.4, intensity 7, (3 1 1)
- 2θ 53.0, intensity 18, (4 0 0)
- 2θ 66.2, intensity 36, (4 2 2)
- 2θ 78.2, intensity 11, (4 4 0)

(4)
Diffraction record for MgCoAu. The powder diffractogram is calculated, not measured: it uses DFT lattice parameters and positions (GGA-PBE) and λ = 1.5418 Å (Cu Kα).
No peak broadening, texture or thermal motion is included.

Structure:
```
data_MgCoAu
_chemical_formula_sum 'Mg2 Co2 Au2'
_space_group_name_H-M_alt 'I m m 2'
_space_group_IT_number 44
_space_group_name_Hall 'I 2 -2'
_cell_length_a 2.924
_cell_length_b 3.753
_cell_length_c 8.533
_cell_angle_alpha 90.00
_cell_angle_beta 90.00
_cell_angle_gamma 90.00
loop_
_atom_site_label
_atom_site_type_symbol
_atom_site_fract_x
_atom_site_fract_y
_atom_site_fract_z
Mg1 Mg 0.000 0.000 0.000
Co1 Co 0.000 0.000 0.665
Au1 Au 0.000 0.000 0.327
```

The 6 most intense peaks (10° ≤ 2θ ≤ 80°), low angle first:
- 2θ 20.8, intensity 74, (0 0 2)
- 2θ 25.9, intensity 85, (0 1 1)
- 2θ 32.4, intensity 49, (1 0 1)
- 2θ 39.1, intensity 100, (1 1 0)
- 2θ 39.8, intensity 95, (0 1 3)
- 2θ 44.4, intensity 69, (1 0 3)